The following is a theoretical X-ray powder pattern of K2MnAuF6. It was derived from a PBE+U-relaxed structure, using CuKα.

Peak list (6 most intense, 5° ≤ 2θ ≤ 70°, by angle)
17.57 deg, 5.049 Å, I = 32.5; 20.31 deg, 4.373 Å, I = 58.9; 28.88 deg, 3.092 Å, I = 100.0; 34.00 deg, 2.637 Å, I = 31.4; 41.29 deg, 2.186 Å, I = 40.9; 51.17 deg, 1.785 Å, I = 38.3

Unit cell a=6.1838 b=6.1838 c=6.1838 alpha=60.00 beta=60.00 gamma=60.00
Fractional positions:
K1 0.2500 0.2500 0.2500
K2 0.7500 0.7500 0.7500
Mn1 0.0000 0.0000 0.0000
Au1 0.5000 0.5000 0.5000
F1 0.2246 0.2246 0.7754
F2 0.2246 0.7754 0.2246
F3 0.2246 0.7754 0.7754
F4 0.7754 0.2246 0.2246
F5 0.7754 0.2246 0.7754
F6 0.7754 0.7754 0.2246



The following is a theoretical X-ray powder pattern of Ca3Mg2FeC6O18. It was derived from a PBE+U-relaxed structure, using CuKα.

Peak list (6 most intense, 5° ≤ 2θ ≤ 70°, by angle)
30.55 deg, 2.926 Å, I = 100.0; 36.80 deg, 2.442 Å, I = 13.4; 40.55 deg, 2.225 Å, I = 20.6; 44.22 deg, 2.048 Å, I = 10.9; 49.88 deg, 1.828 Å, I = 12.9; 50.31 deg, 1.814 Å, I = 11.4

Unit cell a=4.8907 b=6.0923 c=12.4903 alpha=99.97 beta=90.16 gamma=113.55
Fractional positions:
Ca1 0.0000 0.0000 0.0000
Ca2 0.3333 0.6660 0.6669
Ca3 0.6667 0.3340 0.3331
Mg1 0.3333 0.6664 0.1667
Mg2 0.6667 0.3336 0.8333
Fe1 0.0000 0.0000 0.5000
C1 0.0091 0.0187 0.7482
C2 0.3239 0.6480 0.9190
C3 0.3409 0.6825 0.4140
C4 0.6591 0.3175 0.5860
C5 0.6761 0.3520 0.0810
C6 0.9909 0.9813 0.2518
O1 0.0688 0.9198 0.6556
O2 0.0794 0.6867 0.4234
O3 0.1266 0.5679 0.8359
O4 0.2063 0.0993 0.8313
O5 0.2502 0.9726 0.2412
O6 0.2650 0.7446 0.0125
O7 0.4053 0.5904 0.3211
O8 0.4156 0.3600 0.0923
O9 0.4678 0.2382 0.5015
O10 0.5322 0.7618 0.4985
O11 0.5844 0.6400 0.9077
O12 0.5947 0.4096 0.6789
O13 0.7350 0.2554 0.9875
O14 0.7498 0.0274 0.7588
O15 0.7937 0.9007 0.1687
O16 0.8734 0.4321 0.1641
O17 0.9206 0.3133 0.5766
O18 0.9312 0.0802 0.3444